This entry pairs a crystal structure of K2LiSbF6 with its calculated powder diffraction line list. Radiation: Cu Kα X-rays. Structure: a DFT-relaxed cell (GGA-PBE, the Materials Project).
No peak broadening, texture or thermal motion is included.

Crystal structure
Unit cell a=6.080 b=6.080 c=6.080 alpha=60.00 beta=60.00 gamma=60.00
Atoms (fractional coordinates):
K (0.250, 0.250, 0.250)
K (0.750, 0.750, 0.750)
Li (0.000, 0.000, 0.000)
Sb (0.500, 0.500, 0.500)
F (0.244, 0.244, 0.756)
F (0.244, 0.756, 0.244)
F (0.244, 0.756, 0.756)
F (0.756, 0.244, 0.244)
F (0.756, 0.244, 0.756)
F (0.756, 0.756, 0.244)

Top 10 peaks for 10° ≤ 2θ ≤ 90°, low angle first:
d (Å)	Rel. int.
4.965	971
4.299	297
3.040	1000
2.593	628
2.150	669
1.973	306
1.755	388
1.655	193
1.520	384
1.149	199